Record 1
For K2PrRe2N6, a cell relaxed with GGA-PBE gives the computed PXRD pattern in this record (Cu Kα (weighted mean of Kα1 and Kα2)).

Peak list (10 most intense, 5° ≤ 2θ ≤ 70°, by intensity)
2θ = 27.95°, I 100; 2θ = 19.10°, I 32; 2θ = 18.27°, I 32; 2θ = 16.83°, I 20; 2θ = 49.43°, I 18; 2θ = 38.79°, I 12; 2θ = 37.27°, I 12; 2θ = 45.03°, I 9; 2θ = 53.25°, I 9; 2θ = 45.97°, I 9

Atomic structure:
a b c (Å): 6.391 6.391 7.571
angles (deg): 118.05 118.05 60.02
Element x y z (fractional)
1 K 0.209 0.209 0.182
2 K 0.791 0.791 0.818
3 Pr 0.000 0.000 0.500
4 Re 0.457 0.457 0.795
5 Re 0.543 0.543 0.205
6 N 0.233 0.702 0.237
7 N 0.266 0.266 0.655
8 N 0.298 0.767 0.763
9 N 0.702 0.233 0.237
10 N 0.734 0.734 0.345
11 N 0.767 0.298 0.763

---

Record 2
For KPr2TaN4, a cell relaxed with GGA-PBE gives the computed PXRD pattern in this record (Cu Kα (weighted mean of Kα1 and Kα2)).

Peak list (10 most intense, 5° ≤ 2θ ≤ 70°, by intensity)
2θ = 30.95°, I 100; 2θ = 36.61°, I 48; 2θ = 51.11°, I 33; 2θ = 62.42°, I 29; 2θ = 34.39°, I 26; 2θ = 59.47°, I 19; 2θ = 15.33°, I 17; 2θ = 64.50°, I 16; 2θ = 17.00°, I 10; 2θ = 52.73°, I 9

Atomic structure:
a b c (Å): 7.162 7.162 7.162
angles (deg): 122.04 122.01 86.53
Element x y z (fractional)
1 K 0.500 0.000 0.000
2 K 0.500 0.500 0.500
3 Pr 0.000 0.000 0.000
4 Pr 0.000 0.000 0.500
5 Pr 0.000 0.500 0.000
6 Pr 0.500 0.000 0.500
7 Ta 0.000 0.500 0.500
8 Ta 0.500 0.500 0.000
9 N 0.178 0.697 0.481
10 N 0.246 0.269 0.522
11 N 0.246 0.724 0.978
12 N 0.285 0.303 0.981
13 N 0.715 0.697 0.019
14 N 0.754 0.276 0.022
15 N 0.754 0.731 0.478
16 N 0.822 0.303 0.519

---

Record 3
For KPrVN3, a cell relaxed with GGA-PBE gives the computed PXRD pattern in this record (Cu Kα (weighted mean of Kα1 and Kα2)).

Peak list (10 most intense, 5° ≤ 2θ ≤ 70°, by intensity)
2θ = 11.55°, I 100; 2θ = 32.27°, I 74; 2θ = 30.79°, I 53; 2θ = 30.56°, I 32; 2θ = 30.01°, I 31; 2θ = 41.06°, I 18; 2θ = 46.99°, I 16; 2θ = 41.32°, I 16; 2θ = 30.90°, I 13; 2θ = 34.96°, I 13

Atomic structure:
a b c (Å): 7.123 7.123 7.964
angles (deg): 105.26 105.26 31.50
Element x y z (fractional)
1 K 0.140 0.140 0.066
2 K 0.860 0.860 0.934
3 Pr 0.158 0.158 0.586
4 Pr 0.842 0.842 0.414
5 V 0.494 0.494 0.688
6 V 0.506 0.506 0.312
7 N 0.010 0.010 0.319
8 N 0.346 0.346 0.635
9 N 0.370 0.370 0.213
10 N 0.630 0.630 0.787
11 N 0.654 0.654 0.365
12 N 0.990 0.990 0.681

---

Record 4
For KRbN, a cell relaxed with GGA-PBE gives the computed PXRD pattern in this record (Cu Kα (weighted mean of Kα1 and Kα2)).

Peak list (10 most intense, 5° ≤ 2θ ≤ 70°, by intensity)
2θ = 22.03°, I 100; 2θ = 25.72°, I 98; 2θ = 25.28°, I 83; 2θ = 22.52°, I 80; 2θ = 24.39°, I 72; 2θ = 37.18°, I 58; 2θ = 29.23°, I 53; 2θ = 23.61°, I 53; 2θ = 14.14°, I 49; 2θ = 24.12°, I 38

Atomic structure:
a b c (Å): 4.398 8.228 8.465
angles (deg): 97.58 92.31 97.93
Element x y z (fractional)
1 K 0.062 0.259 0.351
2 K 0.938 0.741 0.649
3 Rb 0.430 0.765 0.168
4 Rb 0.570 0.235 0.832
5 N 0.488 0.940 0.533
6 N 0.512 0.060 0.467

---

Record 5
For KRbWN3, a cell relaxed with GGA-PBE gives the computed PXRD pattern in this record (Cu Kα (weighted mean of Kα1 and Kα2)).

Peak list (10 most intense, 5° ≤ 2θ ≤ 70°, by intensity)
2θ = 13.71°, I 100; 2θ = 15.13°, I 85; 2θ = 27.14°, I 65; 2θ = 31.34°, I 62; 2θ = 27.91°, I 60; 2θ = 32.65°, I 37; 2θ = 24.71°, I 36; 2θ = 37.72°, I 33; 2θ = 37.39°, I 21; 2θ = 46.13°, I 18

Atomic structure:
a b c (Å): 7.288 7.288 5.629
angles (deg): 95.96 95.96 124.89
Element x y z (fractional)
1 K 0.240 0.760 0.750
2 K 0.760 0.240 0.250
3 Rb 0.407 0.593 0.250
4 Rb 0.593 0.407 0.750
5 W 0.035 0.965 0.250
6 W 0.965 0.035 0.750
7 N 0.140 0.226 0.502
8 N 0.181 0.819 0.250
9 N 0.226 0.140 0.002
10 N 0.774 0.860 0.998
11 N 0.819 0.181 0.750
12 N 0.860 0.774 0.498

---

Record 6
For K5ReN4, a cell relaxed with GGA-PBE gives the computed PXRD pattern in this record (Cu Kα (weighted mean of Kα1 and Kα2)).

Peak list (10 most intense, 5° ≤ 2θ ≤ 70°, by intensity)
2θ = 28.38°, I 100; 2θ = 15.24°, I 93; 2θ = 17.23°, I 73; 2θ = 34.46°, I 61; 2θ = 30.75°, I 53; 2θ = 17.70°, I 46; 2θ = 41.82°, I 45; 2θ = 27.65°, I 40; 2θ = 27.46°, I 40; 2θ = 31.72°, I 24

Atomic structure:
a b c (Å): 7.948 8.532 6.453
angles (deg): 90.00 90.00 90.00
Element x y z (fractional)
1 K 0.017 0.062 0.236
2 K 0.017 0.438 0.236
3 K 0.250 0.750 0.351
4 K 0.483 0.062 0.236
5 K 0.483 0.438 0.236
6 K 0.517 0.562 0.764
7 K 0.517 0.938 0.764
8 K 0.750 0.250 0.649
9 K 0.983 0.562 0.764
10 K 0.983 0.938 0.764
11 Re 0.250 0.250 0.713
12 Re 0.750 0.750 0.287
13 N 0.056 0.250 0.874
14 N 0.250 0.068 0.553
15 N 0.250 0.432 0.553
16 N 0.444 0.250 0.874
17 N 0.556 0.750 0.126
18 N 0.750 0.568 0.447
19 N 0.750 0.932 0.447
20 N 0.944 0.750 0.126

---

Record 7
For K6ReN4, a cell relaxed with GGA-PBE gives the computed PXRD pattern in this record (Cu Kα (weighted mean of Kα1 and Kα2)).

Peak list (10 most intense, 5° ≤ 2θ ≤ 70°, by intensity)
2θ = 32.06°, I 100; 2θ = 17.14°, I 86; 2θ = 10.89°, I 72; 2θ = 25.64°, I 44; 2θ = 18.93°, I 38; 2θ = 32.81°, I 34; 2θ = 38.40°, I 30; 2θ = 28.78°, I 30; 2θ = 29.09°, I 20; 2θ = 58.45°, I 18

Atomic structure:
a b c (Å): 9.377 9.377 6.713
angles (deg): 90.00 90.00 120.00
Element x y z (fractional)
1 K 0.081 0.541 0.000
2 K 0.141 0.283 0.664
3 K 0.141 0.859 0.664
4 K 0.283 0.141 0.164
5 K 0.459 0.541 0.000
6 K 0.459 0.919 0.000
7 K 0.541 0.081 0.500
8 K 0.541 0.459 0.500
9 K 0.717 0.859 0.664
10 K 0.859 0.141 0.164
11 K 0.859 0.717 0.164
12 K 0.919 0.459 0.500
13 Re 0.333 0.667 0.408
14 Re 0.667 0.333 0.908
15 N 0.226 0.453 0.312
16 N 0.226 0.774 0.312
17 N 0.333 0.667 0.688
18 N 0.453 0.226 0.812
19 N 0.547 0.774 0.312
20 N 0.667 0.333 0.188
21 N 0.774 0.226 0.812
22 N 0.774 0.547 0.812

---

Record 8
For K2TmReN4, a cell relaxed with GGA-PBE gives the computed PXRD pattern in this record (Cu Kα (weighted mean of Kα1 and Kα2)).

Peak list (10 most intense, 5° ≤ 2θ ≤ 70°, by intensity)
2θ = 29.16°, I 100; 2θ = 17.93°, I 74; 2θ = 30.12°, I 40; 2θ = 52.90°, I 36; 2θ = 51.10°, I 22; 2θ = 35.27°, I 20; 2θ = 43.12°, I 17; 2θ = 45.74°, I 14; 2θ = 60.47°, I 12; 2θ = 33.60°, I 11

Atomic structure:
a b c (Å): 6.137 6.137 6.137
angles (deg): 122.18 122.18 86.27
Element x y z (fractional)
1 K 0.000 0.000 0.000
2 K 0.750 0.250 0.500
3 Tm 0.500 0.500 0.000
4 Re 0.250 0.750 0.500
5 N 0.236 0.086 0.591
6 N 0.355 0.764 0.850
7 N 0.495 0.645 0.409
8 N 0.914 0.505 0.150

---

Record 9
For K2VReN4, a cell relaxed with GGA-PBE gives the computed PXRD pattern in this record (Cu Kα (weighted mean of Kα1 and Kα2)).

Peak list (10 most intense, 5° ≤ 2θ ≤ 70°, by intensity)
2θ = 30.17°, I 100; 2θ = 33.73°, I 94; 2θ = 13.00°, I 65; 2θ = 19.69°, I 60; 2θ = 29.68°, I 54; 2θ = 20.00°, I 49; 2θ = 18.76°, I 37; 2θ = 58.11°, I 36; 2θ = 41.00°, I 32; 2θ = 55.31°, I 22

Atomic structure:
a b c (Å): 6.019 6.578 6.809
angles (deg): 90.00 90.00 90.00
Element x y z (fractional)
1 K 0.250 0.001 0.206
2 K 0.250 0.499 0.206
3 K 0.750 0.501 0.794
4 K 0.750 0.999 0.794
5 V 0.250 0.750 0.657
6 V 0.750 0.250 0.343
7 Re 0.250 0.250 0.655
8 Re 0.750 0.750 0.345
9 N 0.000 0.250 0.496
10 N 0.000 0.750 0.504
11 N 0.250 0.002 0.795
12 N 0.250 0.498 0.795
13 N 0.500 0.250 0.496
14 N 0.500 0.750 0.504
15 N 0.750 0.502 0.205
16 N 0.750 0.998 0.205

---

Record 10
For K2ZrReN4, a cell relaxed with GGA-PBE gives the computed PXRD pattern in this record (Cu Kα (weighted mean of Kα1 and Kα2)).

Peak list (10 most intense, 5° ≤ 2θ ≤ 70°, by intensity)
2θ = 32.12°, I 100; 2θ = 28.64°, I 76; 2θ = 19.19°, I 71; 2θ = 12.83°, I 45; 2θ = 29.60°, I 41; 2θ = 56.28°, I 37; 2θ = 39.46°, I 31; 2θ = 52.97°, I 24; 2θ = 38.95°, I 24; 2θ = 25.83°, I 24

Atomic structure:
a b c (Å): 6.234 6.985 6.898
angles (deg): 90.00 90.00 90.00
Element x y z (fractional)
1 K 0.250 0.001 0.218
2 K 0.250 0.499 0.218
3 K 0.750 0.501 0.782
4 K 0.750 0.999 0.782
5 Zr 0.250 0.250 0.670
6 Zr 0.750 0.750 0.330
7 Re 0.250 0.750 0.671
8 Re 0.750 0.250 0.329
9 N 0.013 0.750 0.509
10 N 0.250 0.522 0.813
11 N 0.250 0.978 0.813
12 N 0.487 0.750 0.509
13 N 0.513 0.250 0.491
14 N 0.750 0.022 0.187
15 N 0.750 0.478 0.187
16 N 0.987 0.250 0.491

---

Record 11
For KRh2N, a cell relaxed with GGA-PBE gives the computed PXRD pattern in this record (Cu Kα (weighted mean of Kα1 and Kα2)).

Peak list (10 most intense, 5° ≤ 2θ ≤ 70°, by intensity)
2θ = 33.78°, I 100; 2θ = 17.45°, I 85; 2θ = 35.33°, I 85; 2θ = 59.36°, I 28; 2θ = 54.19°, I 25; 2θ = 44.89°, I 22; 2θ = 41.08°, I 16; 2θ = 28.69°, I 16; 2θ = 59.49°, I 14; 2θ = 62.47°, I 11

Atomic structure:
a b c (Å): 6.228 6.228 6.228
angles (deg): 120.13 120.13 89.78
Element x y z (fractional)
1 K 0.375 0.625 0.750
2 K 0.625 0.375 0.250
3 Rh 0.000 0.000 0.000
4 Rh 0.000 0.000 0.500
5 Rh 0.000 0.500 0.000
6 Rh 0.500 0.000 0.500
7 N 0.125 0.875 0.250
8 N 0.875 0.125 0.750

---

Record 12
For KV2RhN, a cell relaxed with GGA-PBE gives the computed PXRD pattern in this record (Cu Kα (weighted mean of Kα1 and Kα2)).

Peak list (10 most intense, 5° ≤ 2θ ≤ 70°, by intensity)
2θ = 36.58°, I 100; 2θ = 43.85°, I 36; 2θ = 60.60°, I 25; 2θ = 39.67°, I 24; 2θ = 21.52°, I 23; 2θ = 69.98°, I 13; 2θ = 63.75°, I 11; 2θ = 29.22°, I 8; 2θ = 45.57°, I 6; 2θ = 30.62°, I 5

Atomic structure:
a b c (Å): 4.129 4.129 4.544
angles (deg): 90.00 90.00 90.00
Element x y z (fractional)
1 K 0.000 0.000 0.000
2 V 0.000 0.500 0.500
3 V 0.500 0.000 0.500
4 Rh 0.500 0.500 0.000
5 N 0.500 0.500 0.500

---

Record 13
For KSN4, a cell relaxed with GGA-PBE gives the computed PXRD pattern in this record (Cu Kα (weighted mean of Kα1 and Kα2)).

Peak list (10 most intense, 5° ≤ 2θ ≤ 70°, by intensity)
2θ = 18.31°, I 100; 2θ = 27.64°, I 56; 2θ = 31.08°, I 39; 2θ = 29.88°, I 39; 2θ = 16.93°, I 38; 2θ = 26.31°, I 36; 2θ = 13.72°, I 27; 2θ = 35.24°, I 23; 2θ = 33.82°, I 17; 2θ = 25.18°, I 16

Atomic structure:
a b c (Å): 6.653 6.653 8.091
angles (deg): 95.76 95.76 76.73
Element x y z (fractional)
1 K 0.042 0.958 0.500
2 K 0.958 0.042 0.000
3 S 0.518 0.946 0.299
4 S 0.946 0.518 0.799
5 N 0.002 0.290 0.743
6 N 0.290 0.002 0.243
7 N 0.383 0.459 0.087
8 N 0.386 0.544 0.555
9 N 0.459 0.383 0.587
10 N 0.544 0.386 0.055
11 N 0.720 0.972 0.245
12 N 0.972 0.720 0.745